Entry 1:
Diffraction record for CaEuHfSnO6. The powder diffraction line list is theoretical, not measured: it uses a DFT-relaxed cell (PBE, the Materials Project) and Cu Kα, 1.54184 Å.
Peak positions follow from Bragg's law for the DFT cell and can differ from measured ones.

Peak list (6 most intense, 10 to 90 degrees two-theta, by angle)
Position (°2θ)  I/Imax
30.84  100
44.18  30
54.84  41
64.25  19
72.96  18
89.41  22

Crystal structure
Cell: 5.799 5.799 5.799 Å, 60.00 60.00 60.00°
Sites, in units of the cell vectors:
Ca  0.000  0.000  0.000
Eu  0.500  0.500  0.500
Hf  0.750  0.750  0.750
Sn  0.250  0.250  0.250
O  0.000  0.000  0.500
O  0.000  0.500  0.000
O  0.000  0.500  0.500
O  0.500  0.000  0.000
O  0.500  0.000  0.500
O  0.500  0.500  0.000

---

Entry 2:
Diffraction record for CaEuHfTiO6. The powder diffraction line list is theoretical, not measured: it uses a DFT-relaxed cell (PBE, the Materials Project) and Cu Kα, 1.54184 Å.
Peak positions follow from Bragg's law for the DFT cell and can differ from measured ones.

Peak list (6 most intense, 10 to 90 degrees two-theta, by angle)
Position (°2θ)  I/Imax
19.16  40
31.55  100
37.17  25
45.21  32
56.17  39
65.86  19

Crystal structure
Cell: 5.672 5.672 5.672 Å, 60.00 60.00 60.00°
Sites, in units of the cell vectors:
Ca  0.000  0.000  0.000
Eu  0.500  0.500  0.500
Hf  0.750  0.750  0.750
Ti  0.250  0.250  0.250
O  0.006  0.006  0.494
O  0.006  0.494  0.006
O  0.006  0.494  0.494
O  0.494  0.006  0.006
O  0.494  0.006  0.494
O  0.494  0.494  0.006